[1]
Structure and computed X-ray powder pattern of EuBiAu (a DFT-relaxed cell (GGA-PBE, the Materials Project); λ = 1.5418 Å (Cu Kα)).
Peak positions follow from Bragg's law for the DFT cell and can differ from measured ones.

Peak list (10 most intense, 5 to 70 degrees two-theta, low angle first)
h k l  two_theta  I (rel.)
1 0 1  23.63  18
1 0 2  30.52  100
1 1 0  36.56  95
1 0 3  39.62  35
1 1 2  43.09  15
2 0 2  48.35  28
1 0 5  61.42  17
2 1 2  62.11  27
3 0 0  65.82  17
2 1 3  67.87  15

Crystal structure
```
data_EuBiAu
_symmetry_space_group_name_H-M 'P 63 m c'
_symmetry_Int_Tables_number 186
_symmetry_space_group_name_Hall 'P 6c -2c'
_cell_length_a 4.9152
_cell_length_b 4.9152
_cell_length_c 8.0730
_cell_angle_alpha 90.00
_cell_angle_beta 90.00
_cell_angle_gamma 120.00
loop_
_atom_site_label
_atom_site_fract_x
_atom_site_fract_y
_atom_site_fract_z
_atom_site_occupancy
Eu1 0.0000 0.0000 0.0000 1
Bi1 0.3333 0.6667 0.2243 1
Au1 0.3333 0.6667 0.8164 1
```


[2]
Structure and computed X-ray powder pattern of EuBiAu2 (a DFT-relaxed cell (GGA-PBE, the Materials Project); λ = 1.5418 Å (Cu Kα)).
Peak positions follow from Bragg's law for the DFT cell and can differ from measured ones.

Peak list (5 most intense, 5 to 70 degrees two-theta, low angle first)
h k l  two_theta  I (rel.)
1 1 1  20.96  1
2 2 0  34.56  100
3 1 1  40.77  1
4 0 0  49.69  18
4 2 2  61.94  38

Crystal structure
```
data_EuBiAu2
_symmetry_space_group_name_H-M 'F m -3 m'
_symmetry_Int_Tables_number 225
_symmetry_space_group_name_Hall '-F 4 2 3'
_cell_length_a 7.340
_cell_length_b 7.340
_cell_length_c 7.340
_cell_angle_alpha 90.00
_cell_angle_beta 90.00
_cell_angle_gamma 90.00
loop_
_atom_site_label
_atom_site_fract_x
_atom_site_fract_y
_atom_site_fract_z
_atom_site_occupancy
Eu1 0.000 0.000 0.000 1
Bi1 0.000 0.000 0.500 1
Au1 0.250 0.250 0.250 1
```


[3]
Structure and computed X-ray powder pattern of K2BiAuF6 (a DFT-relaxed cell (GGA-PBE, the Materials Project); λ = 1.5418 Å (Cu Kα)).
Peak positions follow from Bragg's law for the DFT cell and can differ from measured ones.

Peak list (10 most intense, 5 to 70 degrees two-theta, low angle first)
h k l  two_theta  I (rel.)
2 0 0  18.77  74
2 2 0  26.66  100
2 2 2  32.81  8
4 0 0  38.06  36
4 2 0  42.76  38
4 2 2  47.08  44
4 4 0  54.92  23
6 0 0  58.57  19
6 2 0  62.08  20
4 4 4  68.78  8

Crystal structure
```
data_K2BiAuF6
_symmetry_space_group_name_H-M 'F m -3 m'
_symmetry_Int_Tables_number 225
_symmetry_space_group_name_Hall '-F 4 2 3'
_cell_length_a 9.456
_cell_length_b 9.456
_cell_length_c 9.456
_cell_angle_alpha 90.00
_cell_angle_beta 90.00
_cell_angle_gamma 90.00
loop_
_atom_site_label
_atom_site_fract_x
_atom_site_fract_y
_atom_site_fract_z
_atom_site_occupancy
K1 0.250 0.250 0.250 1
Bi1 0.000 0.000 0.000 1
Au1 0.000 0.000 0.500 1
F1 0.000 0.000 0.239 1
```